Entry 1:
The following is a theoretical powder diffractogram of UGeO. It was derived from DFT lattice parameters and positions (PBE), using Cu Kα, 1.54184 Å.

Cell: 3.4045 11.4612 5.5723 Å, 90.00 90.00 90.00°
Space group Cmcm (No. 63)
Asymmetric unit:
1 U 0.0000 0.0646 0.2500
2 Ge 0.0000 0.2173 0.7500
3 O 0.0000 0.5000 0.0000

The 12 most intense peaks (10 to 80 degrees two-theta), by angle:
index, d (Å), Position (°2θ), I_rel
0 2 0, 5.731, 15.5, 336
0 2 1, 3.995, 22.3, 486
1 1 0, 3.264, 27.3, 706
0 0 2, 2.786, 32.1, 451
0 4 1, 2.548, 35.2, 695
1 3 1, 2.313, 38.9, 1000
1 1 2, 2.119, 42.7, 593
1 5 1, 1.800, 50.7, 174
0 4 3, 1.559, 59.3, 158
1 3 3, 1.500, 61.9, 265
2 4 1, 1.415, 66.0, 232
1 7 2, 1.304, 72.5, 176

=====

Entry 2:
The following is a theoretical powder diffractogram of U2GeO10. It was derived from DFT lattice parameters and positions (PBE), using Cu Kα, 1.54184 Å.

Cell: 9.4286 10.8918 19.2123 Å, 90.00 90.00 90.00°
Space group Fddd (No. 70, origin choice 2)
Asymmetric unit:
1 U 0.1250 0.1250 0.2978
2 Ge 0.1250 0.1250 0.1250
3 O 0.0221 0.2668 0.5387
4 O 0.0308 0.0381 0.0624
5 O 0.1250 0.1250 0.3969

The 12 most intense peaks (10 to 80 degrees two-theta), by angle:
index, d (Å), Position (°2θ), I_rel
1 1 1, 6.683, 13.2, 1000
1 1 3, 4.764, 18.6, 661
0 2 2, 4.738, 18.7, 168
2 2 0, 3.564, 25.0, 721
1 1 5, 3.382, 26.3, 304
1 3 1, 3.337, 26.7, 165
0 2 6, 2.760, 32.4, 269
2 0 6, 2.649, 33.8, 214
4 0 0, 2.358, 38.2, 147
2 4 6, 1.899, 47.9, 213
4 2 6, 1.792, 50.9, 165
4 4 0, 1.783, 51.2, 222